[1]
This entry pairs a crystal structure of AcPmAg4 with its calculated PXRD pattern. Radiation: a wavelength of 1.5418 Å. Structure: a structure optimized by DFT (PBE).

Top 8 peaks for 10 to 80 degrees two-theta, by angle:
31.78 deg, intensity 100, hkl 1 1 1
31.98 deg, intensity 51, hkl 1 0 2
36.87 deg, intensity 32, hkl 0 2 0
37.38 deg, intensity 62, hkl 0 1 3
47.99 deg, intensity 15, hkl 2 0 0
49.59 deg, intensity 30, hkl 1 2 2
62.36 deg, intensity 27, hkl 2 1 3
64.17 deg, intensity 14, hkl 1 1 5

Atomic structure:
a b c (Å): 3.7918 4.8762 8.2973
angles (deg): 90.00 90.00 90.00
Sites, in units of the cell vectors:
Ac 0.0000 0.0000 0.0000
Pm 0.0000 0.5000 0.5000
Ag 0.5000 0.0000 0.3363
Ag 0.5000 0.0000 0.6637
Ag 0.5000 0.5000 0.1729
Ag 0.5000 0.5000 0.8271

---

[2]
This entry pairs a crystal structure of AcPmPrAg with its calculated PXRD pattern. Radiation: a wavelength of 1.5418 Å. Structure: a structure optimized by DFT (PBE).

Top 8 peaks for 10 to 80 degrees two-theta, by angle:
25.21 deg, intensity 12, hkl 1 0 1
30.50 deg, intensity 100, hkl 1 0 2
33.05 deg, intensity 48, hkl 1 1 0
44.86 deg, intensity 11, hkl 1 1 3
47.44 deg, intensity 17, hkl 2 0 0
52.54 deg, intensity 13, hkl 1 1 4
55.97 deg, intensity 10, hkl 1 0 5
57.45 deg, intensity 33, hkl 2 1 2

Atomic structure:
a b c (Å): 3.8331 3.8331 9.0922
angles (deg): 90.00 90.00 90.00
Sites, in units of the cell vectors:
Ac 0.0000 0.0000 0.0000
Pm 0.0000 0.0000 0.4229
Pr 0.5000 0.5000 0.6957
Ag 0.5000 0.5000 0.2355